Simulated X-ray diffraction stick pattern
Compound: Na3HfGaSi2SO12
Radiation: a wavelength of 1.5418 Å
Structure: the PBE geometry in the Materials Project
Neutral-atom scattering factors, no anomalous dispersion.

Main lines, sorted by position (2θ from 5° to 70°):
| 2θ (°) | intensity |
| --- | --- |
| 13.95 | 44 |
| 19.40 | 52 |
| 19.70 | 100 |
| 19.82 | 26 |
| 28.10 | 29 |
| 30.72 | 38 |
| 31.17 | 39 |
| 31.45 | 34 |
| 34.38 | 27 |
| 34.61 | 43 |

Unit cell a=9.025 b=9.025 c=9.003 alpha=118.98 beta=118.98 gamma=59.52
Element x y z (fractional)
Na 0.065 0.935 0.500
Na 0.307 0.833 0.247
Na 0.562 0.705 0.995
Na 0.705 0.562 0.495
Na 0.833 0.307 0.747
Na 0.935 0.065 0.000
Hf 0.146 0.662 0.791
Hf 0.662 0.146 0.291
Ga 0.452 0.965 0.679
Ga 0.965 0.452 0.179
Si 0.061 0.260 0.474
Si 0.260 0.061 0.974
Si 0.756 0.844 0.477
Si 0.844 0.756 0.977
S 0.346 0.556 0.478
S 0.556 0.346 0.978
O 0.022 0.288 0.291
O 0.030 0.739 0.967
O 0.070 0.229 0.994
O 0.086 0.441 0.644
O 0.186 0.531 0.324
O 0.229 0.070 0.494
O 0.248 0.876 0.963
O 0.288 0.022 0.791
O 0.329 0.583 0.646
O 0.366 0.713 0.488
O 0.399 0.517 0.961
O 0.441 0.086 0.144
O 0.517 0.399 0.461
O 0.531 0.186 0.824
O 0.580 0.865 0.505
O 0.583 0.329 0.146
O 0.665 0.790 0.802
O 0.713 0.366 0.988
O 0.739 0.030 0.467
O 0.790 0.665 0.302
O 0.820 0.940 0.153
O 0.865 0.580 0.005
O 0.876 0.248 0.463
O 0.940 0.820 0.653